The following is a simulated PXRD pattern of Ti3Re4Mo2. It was derived from DFT lattice parameters and positions (PBE), using Cu Kα (λ = 1.5418 Å).

Peak list (12 most intense, 2θ from 10° to 90°, low angle first)
2theta	I/Imax
18.66	214
22.98	127
35.75	89
40.69	672
40.82	1000
40.90	332
58.93	112
59.04	124
59.20	111
74.10	176
74.31	337
74.50	112

```
Ti3Re4Mo2
1.0
5.408 0.000 0.000
-1.823 6.747 0.000
-0.002 -1.461 7.552
Ti Re Mo
6 8 4
direct
0.139 0.166 0.439
0.251 0.503 0.004
0.306 0.165 0.776
0.694 0.835 0.224
0.749 0.497 0.996
0.861 0.834 0.561
0.082 0.500 0.668
0.193 0.833 0.222
0.362 0.835 0.555
0.471 0.166 0.111
0.529 0.834 0.889
0.638 0.165 0.445
0.807 0.167 0.778
0.918 0.500 0.332
0.027 0.830 0.889
0.420 0.501 0.336
0.580 0.499 0.664
0.973 0.170 0.111
```

=====

The following is a simulated PXRD pattern of Rb3In2Br9. It was derived from DFT lattice parameters and positions (PBE), using Cu Kα (λ = 1.5418 Å).

Peak list (12 most intense, 2θ from 10° to 90°, low angle first)
2theta	I/Imax
13.89	940
25.99	373
26.86	486
27.99	912
29.77	1000
32.10	940
34.90	592
42.15	290
46.76	766
49.28	299
54.74	333
75.31	311

```
Rb3In2Br9
1.0
7.771 0.000 0.000
-3.886 6.730 0.000
0.000 0.000 19.919
Rb In Br
6 4 18
direct
0.000 0.000 0.250
0.000 0.000 0.750
0.333 0.667 0.062
0.333 0.667 0.438
0.667 0.333 0.562
0.667 0.333 0.938
0.333 0.667 0.656
0.333 0.667 0.844
0.667 0.333 0.156
0.667 0.333 0.344
0.018 0.509 0.750
0.166 0.332 0.588
0.166 0.332 0.912
0.166 0.834 0.588
0.166 0.834 0.912
0.332 0.166 0.088
0.332 0.166 0.412
0.491 0.509 0.750
0.491 0.982 0.750
0.509 0.018 0.250
0.509 0.491 0.250
0.668 0.834 0.588
0.668 0.834 0.912
0.834 0.166 0.088
0.834 0.166 0.412
0.834 0.668 0.088
0.834 0.668 0.412
0.982 0.491 0.250
```

=====

The following is a simulated PXRD pattern of La2Pm5Tl4. It was derived from DFT lattice parameters and positions (PBE), using Cu Kα (λ = 1.5418 Å).

Peak list (12 most intense, 2θ from 10° to 90°, low angle first)
2theta	I/Imax
30.52	256
30.80	162
31.21	455
32.36	1000
33.28	376
33.84	388
35.48	317
36.45	141
51.26	161
57.49	259
62.50	124
62.85	134

```
La2Pm5Tl4
1.0
8.830 0.000 0.000
0.000 3.564 0.000
-1.141 0.000 10.765
La Pm Tl
2 5 4
direct
0.082 0.000 0.135
0.918 0.000 0.865
0.162 0.000 0.642
0.461 0.000 0.167
0.500 0.000 0.500
0.539 0.000 0.833
0.838 0.000 0.358
0.201 0.500 0.386
0.255 0.500 0.919
0.745 0.500 0.081
0.799 0.500 0.614
```

=====

The following is a simulated PXRD pattern of KSb2Br8. It was derived from DFT lattice parameters and positions (PBE), using Cu Kα (λ = 1.5418 Å).

Peak list (12 most intense, 2θ from 10° to 90°, low angle first)
2theta	I/Imax
12.91	339
15.93	989
17.54	347
19.53	291
23.37	318
25.38	194
27.74	348
28.04	1000
32.45	290
34.45	306
37.87	225
43.21	342

```
KSb2Br8
1.0
6.973 -3.749 0.000
6.973 3.749 0.000
-1.664 0.000 9.091
K Sb Br
1 2 8
direct
0.000 0.000 0.000
0.239 0.239 0.677
0.761 0.761 0.323
0.099 0.600 0.213
0.134 0.134 0.403
0.400 0.901 0.787
0.417 0.417 0.871
0.583 0.583 0.129
0.600 0.099 0.213
0.866 0.866 0.597
0.901 0.400 0.787
```